[1]
For YTeAuO, a crystal structure in OQMD, relaxed with GGA-PBE gives the simulated powder diffraction line list in this record (λ = 1.5418 Å (Cu Kα)).
Lines closer than 0.1° are merged.

Crystal structure
```
YTeAuO
1.0
5.7165 0.0000 0.0000
0.0000 10.3147 0.0000
0.0000 0.0000 5.7291
Y Te Au O
4 4 4 4
direct
0.0000 0.1037 0.2500
0.0000 0.8963 0.7500
0.5000 0.1037 0.7500
0.5000 0.8963 0.2500
0.0000 0.2774 0.7500
0.0000 0.7226 0.2500
0.5000 0.2774 0.2500
0.5000 0.7226 0.7500
0.2500 0.5000 0.2453
0.2500 0.5000 0.7453
0.7500 0.5000 0.2547
0.7500 0.5000 0.7547
0.2500 0.0000 0.0002
0.2500 0.0000 0.5002
0.7500 0.0000 0.9998
0.7500 0.0000 0.4998
```

Main lines, sorted by position (15 to 90 degrees two-theta):
two_theta	intensity
17.19	39
28.03	57
31.22	100
32.48	93
34.22	74
35.92	90
41.04	48
45.69	63
48.32	58
54.84	41

[2]
For TaBeTc2, a crystal structure in OQMD, relaxed with GGA-PBE gives the simulated powder diffraction line list in this record (λ = 1.5418 Å (Cu Kα)).
Lines closer than 0.1° are merged.

Crystal structure
```
TaBeTc2
1.0
6.1156 0.0000 0.0000
0.0000 6.1156 0.0000
0.0000 0.0000 6.1156
Ta Be Tc
4 4 8
direct
0.0000 0.0000 0.0000
0.0000 0.5000 0.5000
0.5000 0.0000 0.5000
0.5000 0.5000 0.0000
0.2500 0.2500 0.7500
0.2500 0.7500 0.2500
0.7500 0.2500 0.2500
0.7500 0.7500 0.7500
0.0000 0.0000 0.5000
0.0000 0.5000 0.0000
0.2500 0.2500 0.2500
0.2500 0.7500 0.7500
0.5000 0.0000 0.0000
0.5000 0.5000 0.5000
0.7500 0.2500 0.7500
0.7500 0.7500 0.2500
```

Main lines, sorted by position (15 to 90 degrees two-theta):
two_theta	intensity
25.22	25
29.21	26
41.78	100
49.43	13
51.78	7
60.56	17
66.66	5
68.63	9
76.28	33
81.84	4